Simulated powder XRD pattern
Compound: Tm3As2Rh7
Radiation: Cu Kα (weighted mean of Kα1 and Kα2)
Structure: the GGA-PBE geometry in Alexandria
Intensities are scaled so that the largest is 100.

Atomic structure:
a = 14.0555 Å, b = 14.0555 Å, c = 3.9486 Å
α = 90.00°, β = 90.00°, γ = 163.29°
Fractional positions:
Tm 0.0000 0.0000 0.0000
Tm 0.2030 0.7970 0.0000
Tm 0.7970 0.2030 0.0000
As 0.4147 0.5853 0.5000
As 0.5853 0.4147 0.5000
Rh 0.1316 0.8684 0.5000
Rh 0.2890 0.7110 0.5000
Rh 0.3661 0.6339 0.0000
Rh 0.5000 0.5000 0.5000
Rh 0.6339 0.3661 0.0000
Rh 0.7110 0.2890 0.5000
Rh 0.8684 0.1316 0.5000

Main lines, in order of rising 2θ (10° ≤ 2θ ≤ 90°):
Position (°2θ), I_rel
35.50, 100
38.99, 54
44.35, 33
45.97, 30
48.19, 32
65.78, 20

Simulated powder XRD pattern
Compound: Na3Bi2Pd3
Radiation: Cu Kα (weighted mean of Kα1 and Kα2)
Structure: the GGA-PBE geometry in Alexandria
Intensities are scaled so that the largest is 100.

Atomic structure:
a = 5.8360 Å, b = 5.8360 Å, c = 14.7716 Å
α = 90.00°, β = 90.00°, γ = 131.70°
Fractional positions:
Na 0.0619 0.9381 0.6140
Na 0.0619 0.9381 0.8860
Na 0.3370 0.6630 0.7500
Na 0.6630 0.3370 0.2500
Na 0.9381 0.0619 0.1140
Na 0.9381 0.0619 0.3860
Bi 0.2367 0.7633 0.0965
Bi 0.2367 0.7633 0.4035
Bi 0.7633 0.2367 0.5965
Bi 0.7633 0.2367 0.9035
Pd 0.3775 0.6225 0.2500
Pd 0.3928 0.6072 0.5530
Pd 0.3928 0.6072 0.9470
Pd 0.6072 0.3928 0.0530
Pd 0.6072 0.3928 0.4470
Pd 0.6225 0.3775 0.7500

Main lines, in order of rising 2θ (10° ≤ 2θ ≤ 90°):
Position (°2θ), I_rel
11.98, 23
16.65, 33
21.26, 38
24.62, 24
36.44, 100
37.67, 28

Simulated powder XRD pattern
Compound: Er8Tm2Tl
Radiation: Cu Kα (weighted mean of Kα1 and Kα2)
Structure: the GGA-PBE geometry in Alexandria
Intensities are scaled so that the largest is 100.

Atomic structure:
a = 6.0559 Å, b = 6.0559 Å, c = 12.4489 Å
α = 103.56°, β = 103.56°, γ = 47.53°
Fractional positions:
Er 0.0383 0.0383 0.3217
Er 0.1372 0.1372 0.9528
Er 0.2375 0.2375 0.5884
Er 0.4086 0.4086 0.8627
Er 0.5914 0.5914 0.1373
Er 0.7625 0.7625 0.4116
Er 0.8628 0.8628 0.0472
Er 0.9617 0.9617 0.6783
Tm 0.3137 0.3137 0.2326
Tm 0.6863 0.6863 0.7674
Tl 0.5000 0.5000 0.5000

Main lines, in order of rising 2θ (10° ≤ 2θ ≤ 90°):
Position (°2θ), I_rel
31.56, 100
36.17, 17
36.82, 33
52.61, 18
63.01, 13
63.11, 14

Simulated powder XRD pattern
Compound: PrSm2Dy4Mg
Radiation: Cu Kα (weighted mean of Kα1 and Kα2)
Structure: the GGA-PBE geometry in Alexandria
Intensities are scaled so that the largest is 100.

Atomic structure:
a = 5.6628 Å, b = 5.6628 Å, c = 7.9499 Å
α = 90.00°, β = 90.00°, γ = 90.00°
Fractional positions:
Pr 0.0000 0.0000 0.0000
Sm 0.0000 0.0000 0.5000
Sm 0.5000 0.5000 0.5000
Dy 0.0000 0.5000 0.2336
Dy 0.0000 0.5000 0.7664
Dy 0.5000 0.0000 0.2336
Dy 0.5000 0.0000 0.7664
Mg 0.5000 0.5000 0.0000

Main lines, in order of rising 2θ (10° ≤ 2θ ≤ 90°):
Position (°2θ), I_rel
31.60, 52
31.72, 100
45.29, 19
56.35, 39
56.58, 18
75.04, 17

Simulated powder XRD pattern
Compound: HfZr4Tl3
Radiation: Cu Kα (weighted mean of Kα1 and Kα2)
Structure: the GGA-PBE geometry in Alexandria
Intensities are scaled so that the largest is 100.

Atomic structure:
a = 3.2062 Å, b = 3.2062 Å, c = 17.9542 Å
α = 90.00°, β = 90.00°, γ = 90.00°
Fractional positions:
Hf 0.0000 0.0000 0.0000
Zr 0.5000 0.5000 0.1235
Zr 0.5000 0.5000 0.3769
Zr 0.5000 0.5000 0.6231
Zr 0.5000 0.5000 0.8765
Tl 0.0000 0.0000 0.2526
Tl 0.0000 0.0000 0.5000
Tl 0.0000 0.0000 0.7474

Main lines, in order of rising 2θ (10° ≤ 2θ ≤ 90°):
Position (°2θ), I_rel
34.37, 100
39.76, 34
40.18, 16
57.81, 22
68.72, 27
69.31, 13

Simulated powder XRD pattern
Compound: Y2Ho4Tm3
Radiation: Cu Kα (weighted mean of Kα1 and Kα2)
Structure: the GGA-PBE geometry in Alexandria
Intensities are scaled so that the largest is 100.

Atomic structure:
a = 10.1113 Å, b = 10.1113 Å, c = 5.8814 Å
α = 95.94°, β = 95.94°, γ = 69.35°
Fractional positions:
Y 0.0026 0.7895 0.7154
Y 0.2105 0.9974 0.7846
Y 0.7895 0.0026 0.2154
Y 0.9974 0.2105 0.2846
Ho 0.1238 0.3397 0.8778
Ho 0.3303 0.5435 0.9519
Ho 0.3397 0.1238 0.3778
Ho 0.4565 0.6697 0.5481
Ho 0.5435 0.3303 0.4519
Ho 0.6603 0.8762 0.6222
Ho 0.6697 0.4565 0.0481
Ho 0.8762 0.6603 0.1222
Tm 0.1556 0.8444 0.2500
Tm 0.1812 0.4871 0.4151
Tm 0.4871 0.1812 0.9151
Tm 0.5129 0.8188 0.0849
Tm 0.8188 0.5129 0.5849
Tm 0.8444 0.1556 0.7500

Main lines, in order of rising 2θ (10° ≤ 2θ ≤ 90°):
Position (°2θ), I_rel
30.40, 65
31.09, 45
31.44, 59
32.13, 100
37.75, 33
38.61, 28

Simulated powder XRD pattern
Compound: Ce4UC10
Radiation: Cu Kα (weighted mean of Kα1 and Kα2)
Structure: the GGA-PBE geometry in Alexandria
Intensities are scaled so that the largest is 100.

Atomic structure:
a = 10.0112 Å, b = 10.0112 Å, c = 10.0112 Å
α = 158.66°, β = 143.66°, γ = 42.53°
Fractional positions:
Ce 0.0982 0.0982 0.0000
Ce 0.3048 0.3048 0.0000
Ce 0.6952 0.6952 0.0000
Ce 0.9018 0.9018 0.0000
U 0.5000 0.5000 0.0000
C 0.0968 0.7013 0.3955
C 0.1075 0.5000 0.6075
C 0.2987 0.9056 0.3932
C 0.3058 0.7013 0.6045
C 0.4876 0.0944 0.3932
C 0.5124 0.9056 0.6068
C 0.6942 0.2987 0.3955
C 0.7013 0.0944 0.6068
C 0.8925 0.5000 0.3925
C 0.9032 0.2987 0.6045

Main lines, in order of rising 2θ (10° ≤ 2θ ≤ 90°):
Position (°2θ), I_rel
27.85, 100
27.99, 100
28.59, 65
34.09, 99
45.07, 74
50.23, 56

Simulated powder XRD pattern
Compound: Li3In4Ag2
Radiation: Cu Kα (weighted mean of Kα1 and Kα2)
Structure: the GGA-PBE geometry in Alexandria
Intensities are scaled so that the largest is 100.

Atomic structure:
a = 5.1466 Å, b = 5.1466 Å, c = 9.1498 Å
α = 109.68°, β = 109.68°, γ = 56.63°
Fractional positions:
Li 0.0000 0.0000 0.0000
Li 0.3401 0.3401 0.3202
Li 0.6599 0.6599 0.6798
In 0.0192 0.0192 0.3372
In 0.3142 0.3142 0.9437
In 0.6858 0.6858 0.0563
In 0.9808 0.9808 0.6628
Ag 0.3044 0.3044 0.6237
Ag 0.6956 0.6956 0.3763

Main lines, in order of rising 2θ (10° ≤ 2θ ≤ 90°):
Position (°2θ), I_rel
21.66, 100
31.76, 45
36.82, 56
37.11, 92
40.23, 77
41.85, 35

Simulated powder XRD pattern
Compound: AlCd4S6
Radiation: Cu Kα (weighted mean of Kα1 and Kα2)
Structure: the GGA-PBE geometry in Alexandria
Intensities are scaled so that the largest is 100.

Atomic structure:
a = 7.1973 Å, b = 7.1973 Å, c = 12.7429 Å
α = 107.13°, β = 107.13°, γ = 58.96°
Fractional positions:
Al 0.2247 0.7753 0.5000
Al 0.7753 0.2247 0.0000
Cd 0.0324 0.8396 0.7479
Cd 0.1566 0.3957 0.2497
Cd 0.3957 0.1566 0.7497
Cd 0.3963 0.7368 0.0962
Cd 0.6323 0.8674 0.4382
Cd 0.7368 0.3963 0.5962
Cd 0.8396 0.0324 0.2479
Cd 0.8674 0.6323 0.9382
S 0.0140 0.4936 0.7535
S 0.0263 0.1097 0.4523
S 0.0459 0.5752 0.4443
S 0.1000 0.6666 0.1332
S 0.1097 0.0263 0.9523
S 0.3636 0.7884 0.6826
S 0.4936 0.0140 0.2535
S 0.5200 0.5710 0.4158
S 0.5710 0.5200 0.9158
S 0.5752 0.0459 0.9443
S 0.6666 0.1000 0.6332
S 0.7884 0.3636 0.1826

Main lines, in order of rising 2θ (10° ≤ 2θ ≤ 90°):
Position (°2θ), I_rel
24.47, 89
24.75, 47
25.78, 100
26.24, 95
28.83, 76
45.69, 60

Simulated powder XRD pattern
Compound: La6TbTm3
Radiation: Cu Kα (weighted mean of Kα1 and Kα2)
Structure: the GGA-PBE geometry in Alexandria
Intensities are scaled so that the largest is 100.

Atomic structure:
a = 5.6093 Å, b = 10.0850 Å, c = 12.5289 Å
α = 90.00°, β = 90.04°, γ = 90.00°
Fractional positions:
La 0.0002 0.1812 0.1700
La 0.0002 0.3188 0.6700
La 0.9998 0.6812 0.3300
La 0.9998 0.8188 0.8300
La 0.4993 0.0503 0.7202
La 0.4993 0.4497 0.2202
La 0.4996 0.1879 0.4837
La 0.4996 0.3121 0.9837
La 0.5004 0.6879 0.0163
La 0.5004 0.8121 0.5163
La 0.5007 0.5503 0.7798
La 0.5007 0.9497 0.2798
Tb 0.5000 0.0000 0.0000
Tb 0.5000 0.5000 0.5000
Tm 0.0000 0.0000 0.5000
Tm 0.9998 0.1477 0.9027
Tm 0.9998 0.3523 0.4027
Tm 0.0000 0.5000 0.0000
Tm 0.0002 0.6477 0.5973
Tm 0.0002 0.8523 0.0973

Main lines, in order of rising 2θ (10° ≤ 2θ ≤ 90°):
Position (°2θ), I_rel
27.73, 23
28.07, 28
31.87, 100
32.08, 19
32.75, 22
34.24, 17

Simulated powder XRD pattern
Compound: Zn4GaAg8
Radiation: Cu Kα (weighted mean of Kα1 and Kα2)
Structure: the GGA-PBE geometry in Alexandria
Intensities are scaled so that the largest is 100.

Atomic structure:
a = 5.0517 Å, b = 5.0517 Å, c = 11.7450 Å
α = 95.48°, β = 95.48°, γ = 47.15°
Fractional positions:
Zn 0.1234 0.1234 0.1613
Zn 0.3540 0.3540 0.4607
Zn 0.6460 0.6460 0.5393
Zn 0.8766 0.8766 0.8387
Ga 0.5000 0.5000 0.0000
Ag 0.0525 0.0525 0.3899
Ag 0.1889 0.1889 0.9248
Ag 0.2573 0.2573 0.6851
Ag 0.4330 0.4330 0.2294
Ag 0.5670 0.5670 0.7706
Ag 0.7427 0.7427 0.3149
Ag 0.8111 0.8111 0.0752
Ag 0.9475 0.9475 0.6101

Main lines, in order of rising 2θ (10° ≤ 2θ ≤ 90°):
Position (°2θ), I_rel
38.24, 99
38.46, 100
43.53, 34
44.86, 32
45.32, 29
64.31, 28

Simulated powder XRD pattern
Compound: Sc3TiN4
Radiation: Cu Kα (weighted mean of Kα1 and Kα2)
Structure: the GGA-PBE geometry in Alexandria
Intensities are scaled so that the largest is 100.

Atomic structure:
a = 5.4355 Å, b = 5.4355 Å, c = 3.1362 Å
α = 90.00°, β = 90.00°, γ = 109.28°
Fractional positions:
Sc 0.0000 0.0000 0.0000
Sc 0.0000 0.5000 0.5000
Sc 0.5000 0.0000 0.5000
Ti 0.5000 0.5000 0.0000
N 0.2561 0.7439 0.0000
N 0.2600 0.2600 0.5000
N 0.7400 0.7400 0.5000
N 0.7439 0.2561 0.0000

Main lines, in order of rising 2θ (10° ≤ 2θ ≤ 90°):
Position (°2θ), I_rel
35.01, 62
40.65, 100
58.71, 10
58.87, 47
70.39, 16
73.89, 9